1.
# Gd3Cd3PtAu2
Simulated powder XRD pattern, Cu Kα, 1.54184 Å. Input: the PBE geometry in OQMD.
Kinematic intensities with the Lorentz-polarization factor, no thermal factor.

Atomic structure:
```
data_Gd3Cd3PtAu2
_symmetry_space_group_name_H-M 'P -6 2 m'
_symmetry_Int_Tables_number 189
_symmetry_space_group_name_Hall 'P -6 -2'
_cell_length_a 7.6776
_cell_length_b 7.6776
_cell_length_c 4.0341
_cell_angle_alpha 90.00
_cell_angle_beta 90.00
_cell_angle_gamma 120.00
loop_
_atom_site_label
_atom_site_type_symbol
_atom_site_fract_x
_atom_site_fract_y
_atom_site_fract_z
Gd1 Gd 0.0000 0.3957 0.0000
Cd1 Cd 0.0000 0.7460 0.5000
Pt1 Pt 0.0000 0.0000 0.0000
Au1 Au 0.3333 0.6667 0.5000
```

Peak list (10 most intense, 2θ = 10–80°, low angle first)
two_theta, Rel. int., h k l
23.17, 19.7, 1 1 0
32.19, 94.5, 1 1 1
34.97, 100.0, 2 0 1
35.73, 34.1, 2 1 0
40.71, 59.7, 3 0 0
42.37, 49.0, 2 1 1
44.94, 29.6, 0 0 2
58.69, 15.7, 2 1 2
62.23, 34.3, 3 0 2
65.41, 37.3, 3 2 1



2.
# Na4AgSn2Pd
Simulated powder XRD pattern, Cu Kα, 1.54184 Å. Input: the PBE geometry in OQMD.
Kinematic intensities with the Lorentz-polarization factor, no thermal factor.

Atomic structure:
```
data_Na4AgSn2Pd
_symmetry_space_group_name_H-M 'P -4 m 2'
_symmetry_Int_Tables_number 115
_symmetry_space_group_name_Hall 'P -4 -2'
_cell_length_a 4.912
_cell_length_b 4.912
_cell_length_c 6.955
_cell_angle_alpha 90.00
_cell_angle_beta 90.00
_cell_angle_gamma 90.00
loop_
_atom_site_label
_atom_site_type_symbol
_atom_site_fract_x
_atom_site_fract_y
_atom_site_fract_z
Na1 Na 0.000 0.000 0.000
Na2 Na 0.000 0.500 0.247
Na3 Na 0.500 0.500 0.500
Ag1 Ag 0.000 0.000 0.500
Sn1 Sn 0.000 0.500 0.763
Pd1 Pd 0.500 0.500 0.000
```

Peak list (9 most intense, 2θ = 10–80°, low angle first)
two_theta, Rel. int., h k l
22.15, 50.7, 1 0 1
36.57, 100.0, 2 0 0
43.17, 26.8, 2 1 1
52.68, 17.1, 2 2 0
57.83, 11.4, 3 0 1
65.84, 34.2, 3 1 2
70.40, 8.6, 3 2 1
73.34, 0.5, 1 1 5
77.73, 10.5, 4 0 0



3.
# SrLa6OsBr12
Simulated powder XRD pattern, Cu Kα, 1.54184 Å. Input: the PBE geometry in OQMD.
Kinematic intensities with the Lorentz-polarization factor, no thermal factor.

Atomic structure:
```
data_SrLa6OsBr12
_symmetry_space_group_name_H-M 'R -3'
_symmetry_Int_Tables_number 148
_symmetry_space_group_name_Hall '-R 3'
_cell_length_a 15.4290
_cell_length_b 15.4290
_cell_length_c 11.0646
_cell_angle_alpha 90.00
_cell_angle_beta 90.00
_cell_angle_gamma 120.00
loop_
_atom_site_label
_atom_site_type_symbol
_atom_site_fract_x
_atom_site_fract_y
_atom_site_fract_z
Sr1 Sr 0.0000 0.0000 0.0000
La1 La 0.0399 0.1670 0.3527
Os1 Os 0.0000 0.0000 0.5000
Br1 Br 0.0221 0.5850 0.1565
Br2 Br 0.0429 0.1717 0.8273
```

Peak list (10 most intense, 2θ = 10–80°, low angle first)
two_theta, Rel. int., h k l
10.38, 41.1, 1 0 1
11.47, 40.5, 1 1 0
29.00, 100.0, 3 1 2
40.70, 37.7, 4 -3 4
42.24, 34.5, 2 5 0
52.05, 17.7, 8 -6 2
60.10, 10.9, 6 2 4
66.99, 13.4, 7 -2 6
69.19, 14.9, 10 -1 2
76.19, 11.6, 11 -5 4